[1]
Starting from a PBE-relaxed structure, the powder XRD pattern of Eu2As2O5 was simulated for Cu Ka.

Crystal structure
abc: 4.182 4.182 7.264
angles: 90.00 90.00 90.00
Space group P4/mmm (No. 123)
One atom of each set of equivalent atoms:
Eu1 0.000 0.000 0.000 (multiplicity 1)
Eu2 0.000 0.000 0.500 (multiplicity 1)
As1 0.500 0.500 0.234 (multiplicity 2)
O1 0.000 0.500 0.233 (multiplicity 4)
O2 0.500 0.500 0.500 (multiplicity 1)

Top 10 peaks for 2θ = 10–80°, low angle first:
| d/Å | I_rel | index |
| --- | --- | --- |
| 4.182 | 12 | 1 0 0 |
| 2.957 | 53 | 1 1 0 |
| 2.742 | 100 | 1 0 2 |
| 2.293 | 17 | 1 1 2 |
| 2.091 | 35 | 2 0 0 |
| 1.816 | 10 | 0 0 4 |
| 1.663 | 45 | 2 1 2 |
| 1.547 | 15 | 1 1 4 |
| 1.479 | 11 | 2 2 0 |
| 1.371 | 16 | 2 0 4 |

[2]
Starting from a PBE-relaxed structure, the powder XRD pattern of EuAsPd was simulated for Cu Ka.

Crystal structure
abc: 4.3248 4.3248 8.4658
angles: 90.00 90.00 120.00
Space group P6_3/mmc (No. 194)
One atom of each set of equivalent atoms:
Eu1 0.0000 0.0000 0.0000 (multiplicity 2)
As1 0.3333 0.6667 0.2500 (multiplicity 2)
Pd1 0.3333 0.6667 0.7500 (multiplicity 2)

Top 10 peaks for 2θ = 10–80°, low angle first:
| d/Å | I_rel | index |
| --- | --- | --- |
| 3.745 | 6 | 1 0 0 |
| 3.425 | 2 | 1 0 1 |
| 2.805 | 100 | 1 0 2 |
| 2.162 | 45 | 1 1 0 |
| 2.116 | 14 | 0 0 4 |
| 1.713 | 23 | 2 0 2 |
| 1.513 | 29 | 1 1 4 |
| 1.343 | 20 | 2 1 2 |
| 1.320 | 10 | 1 0 6 |
| 1.248 | 8 | 3 0 0 |

[3]
Starting from a PBE-relaxed structure, the powder XRD pattern of EuAsPt was simulated for Cu Ka.

Crystal structure
abc: 4.248 4.248 15.132
angles: 90.00 90.00 90.00
Space group I4_1md (No. 109)
One atom of each set of equivalent atoms:
Eu1 0.000 0.000 0.000 (multiplicity 4)
As1 0.000 0.000 0.581 (multiplicity 4)
Pt1 0.000 0.000 0.417 (multiplicity 4)

Top 10 peaks for 2θ = 10–80°, low angle first:
| d/Å | I_rel | index |
| --- | --- | --- |
| 4.090 | 14 | 1 0 1 |
| 3.249 | 28 | 1 0 3 |
| 2.792 | 100 | 1 1 2 |
| 2.465 | 57 | 1 0 5 |
| 2.124 | 44 | 2 0 0 |
| 1.927 | 28 | 1 0 7 |
| 1.609 | 31 | 2 1 5 |
| 1.502 | 15 | 2 2 0 |
| 1.427 | 22 | 2 1 7 |
| 1.323 | 20 | 3 1 2 |

[4]
Starting from a PBE-relaxed structure, the powder XRD pattern of Eu3As2S8 was simulated for Cu Ka.

Crystal structure
abc: 9.2518 9.2518 27.5548
angles: 90.00 90.00 120.00
Space group R-3c (No. 167, hexagonal axes)
One atom of each set of equivalent atoms:
Eu1 0.0000 0.3209 0.2500 (multiplicity 18)
As1 0.0000 0.0000 0.1596 (multiplicity 12)
S1 0.0000 0.0000 0.0788 (multiplicity 12)
S2 0.0380 0.2421 0.6854 (multiplicity 36)

Top 10 peaks for 2θ = 10–80°, low angle first:
| d/Å | I_rel | index |
| --- | --- | --- |
| 6.926 | 14 | 0 1 2 |
| 4.131 | 100 | 1 1 3 |
| 3.259 | 34 | 1 1 6 |
| 2.671 | 57 | 3 0 0 |
| 2.553 | 53 | 1 1 9 |
| 2.309 | 24 | 3 0 6 |
| 2.243 | 27 | 2 2 3 |
| 1.741 | 30 | 0 3 12 |
| 1.718 | 23 | 1 4 3 |
| 1.634 | 16 | 4 1 6 |

[5]
Starting from a PBE-relaxed structure, the powder XRD pattern of Eu11Zn6As12 was simulated for Cu Ka.

Crystal structure
abc: 30.120 4.310 11.671
angles: 90.00 109.75 90.00
Space group C2/m (No. 12)
One atom of each set of equivalent atoms:
Eu1 0.000 0.000 0.000 (multiplicity 2)
Eu2 0.017 0.000 0.678 (multiplicity 4)
Eu3 0.113 0.000 0.512 (multiplicity 4)
Eu4 0.126 0.000 0.021 (multiplicity 4)
Eu5 0.199 0.000 0.348 (multiplicity 4)
Eu6 0.218 0.500 0.864 (multiplicity 4)
Zn1 0.048 0.500 0.236 (multiplicity 4)
Zn2 0.099 0.500 0.751 (multiplicity 4)
Zn3 0.219 0.000 0.669 (multiplicity 4)
As1 0.042 0.500 0.510 (multiplicity 4)
As2 0.045 0.500 0.879 (multiplicity 4)
As3 0.086 0.000 0.238 (multiplicity 4)
As4 0.145 0.000 0.783 (multiplicity 4)
As5 0.193 0.500 0.546 (multiplicity 4)
As6 0.208 0.500 0.146 (multiplicity 4)

Top 10 peaks for 2θ = 10–80°, low angle first:
| d/Å | I_rel | index |
| --- | --- | --- |
| 2.951 | 57 | 7 1 0 |
| 2.914 | 52 | 4 0 -4 |
| 2.884 | 45 | 2 0 -4 |
| 2.849 | 64 | 1 1 -3 |
| 2.806 | 100 | 5 1 -3 |
| 2.675 | 48 | 5 1 2 |
| 2.641 | 59 | 9 1 -1 |
| 2.593 | 52 | 9 1 -2 |
| 2.282 | 41 | 5 1 3 |
| 2.155 | 88 | 0 2 0 |

[6]
Starting from a PBE-relaxed structure, the powder XRD pattern of EuZn2As2 was simulated for Cu Ka.

Crystal structure
abc: 4.2481 4.2481 7.1050
angles: 90.00 90.00 120.00
Space group P-3m1 (No. 164)
One atom of each set of equivalent atoms:
Eu1 0.0000 0.0000 0.0000 (multiplicity 1)
Zn1 0.3333 0.6667 0.3677 (multiplicity 2)
As1 0.3333 0.6667 0.7360 (multiplicity 2)

Top 10 peaks for 2θ = 10–80°, low angle first:
| d/Å | I_rel | index |
| --- | --- | --- |
| 3.267 | 100 | 1 0 1 |
| 2.556 | 76 | 1 0 2 |
| 2.368 | 15 | 0 0 3 |
| 2.124 | 68 | 1 1 0 |
| 1.991 | 26 | 0 1 3 |
| 1.781 | 17 | 0 2 1 |
| 1.633 | 19 | 0 2 2 |
| 1.581 | 24 | 1 1 3 |
| 1.365 | 14 | 2 1 1 |
| 1.295 | 17 | 2 1 2 |